# Ti3B4Mo
Computed X-ray powder pattern, copper Kα. Input: the PBE geometry in the Materials Project.
Lines closer than 0.1° are merged.

Peak list (10 most intense, 10 to 80 degrees two-theta, low angle first)
- 2θ = 14.6°, I = 44, hkl 0 0 1
- 2θ = 29.5°, I = 47, hkl 0 0 2
- 2θ = 35.3°, I = 93, hkl 1 1 0
- 2θ = 35.5°, I = 43, hkl 1 0 -2
- 2θ = 38.4°, I = 88, hkl 1 1 -1
- 2θ = 38.5°, I = 63, hkl 1 1 1
- 2θ = 42.0°, I = 100, hkl 0 1 2
- 2θ = 42.3°, I = 57, hkl 2 0 -1
- 2θ = 42.5°, I = 57, hkl 2 0 1
- 2θ = 69.3°, I = 44, hkl 2 1 -3

Crystal structure
```
Ti3B4Mo
1.0
4.5539 0.0000 0.0000
0.0000 3.0594 0.0000
-0.0390 0.0000 6.0476
Ti B Mo
3 4 1
Direct
0.0000 0.0000 0.0000 Ti
0.2440 0.5000 0.3542 Ti
0.5038 0.5000 0.8487 Ti
0.0255 0.5000 0.7060 B
0.2273 0.0000 0.6468 B
0.5248 0.0000 0.1469 B
0.7275 0.5000 0.2068 B
0.7479 0.0000 0.4969 Mo
```